1.
Starting from a DFT-relaxed cell (PBE+U, the Materials Project), the PXRD pattern of LuVO3 was simulated for CuKα.
Neutral-atom scattering factors, no anomalous dispersion.

Crystal structure
Cell lengths 5.659, 7.593, 5.242 Å; angles 90.00, 90.00, 90.00 degrees
Space group Pnma (No. 62)
Unique sites:
Lu 0.071 0.250 0.023 (multiplicity 4)
V 0.000 0.000 0.500 (multiplicity 4)
O 0.055 0.750 0.370 (multiplicity 4)
O 0.186 0.565 0.810 (multiplicity 8)

Largest 6 diffraction maxima, by intensity, 10° ≤ 2θ ≤ 90°:
(hkl), 2θ (°), Rel. int.
1 2 1, 33.16, 100
1 0 1, 23.13, 31
1 1 1, 25.97, 28
3 1 1, 52.98, 23
0 0 2, 34.21, 23
0 2 0, 23.43, 22

---

2.
Starting from a DFT-relaxed cell (PBE+U, the Materials Project), the PXRD pattern of Li2Mn3O6 was simulated for CuKα.
Neutral-atom scattering factors, no anomalous dispersion.

Crystal structure
Cell lengths 14.624, 2.882, 5.173 Å; angles 90.00, 101.08, 90.00 degrees
Space group C2/m (No. 12)
Unique sites:
Li 0.182 0.000 0.072 (multiplicity 4)
Mn 0.000 0.000 0.000 (multiplicity 2)
Mn 0.149 0.500 0.550 (multiplicity 4)
O 0.071 0.500 0.881 (multiplicity 4)
O 0.091 0.000 0.328 (multiplicity 4)
O 0.227 0.000 0.733 (multiplicity 4)

Largest 6 diffraction maxima, by intensity, 10° ≤ 2θ ≤ 90°:
(hkl), 2θ (°), Rel. int.
4 0 -1, 27.55, 100
2 0 1, 23.33, 74
3 1 0, 36.40, 46
1 1 -1, 35.78, 38
3 1 1, 42.27, 38
1 1 -3, 62.95, 32

---

3.
Starting from a DFT-relaxed cell (PBE+U, the Materials Project), the PXRD pattern of Ca3La5Mn7FeO24 was simulated for CuKα.
Neutral-atom scattering factors, no anomalous dispersion.

Crystal structure
Cell lengths 5.531, 7.785, 11.065 Å; angles 89.91, 89.94, 90.00 degrees
Space group P1 (No. 1)
Unique sites:
Ca 0.000 0.000 0.000 (multiplicity 1)
Ca 0.001 0.002 0.497 (multiplicity 1)
Ca 0.437 0.501 0.249 (multiplicity 1)
La 0.447 0.500 0.751 (multiplicity 1)
La 0.492 0.001 0.757 (multiplicity 1)
La 0.493 0.001 0.257 (multiplicity 1)
La 0.945 0.500 0.012 (multiplicity 1)
La 0.949 0.501 0.502 (multiplicity 1)
Mn 0.469 0.249 0.006 (multiplicity 1)
Mn 0.469 0.752 0.006 (multiplicity 1)
Mn 0.470 0.752 0.502 (multiplicity 1)
Mn 0.471 0.250 0.501 (multiplicity 1)
Mn 0.969 0.248 0.754 (multiplicity 1)
Mn 0.969 0.249 0.253 (multiplicity 1)
Mn 0.969 0.753 0.253 (multiplicity 1)
Fe 0.969 0.755 0.754 (multiplicity 1)
O 0.193 0.289 0.118 (multiplicity 1)
O 0.197 0.712 0.114 (multiplicity 1)
O 0.201 0.293 0.618 (multiplicity 1)
O 0.202 0.708 0.618 (multiplicity 1)
O 0.243 0.212 0.367 (multiplicity 1)
O 0.245 0.214 0.866 (multiplicity 1)
O 0.247 0.790 0.370 (multiplicity 1)
O 0.248 0.787 0.867 (multiplicity 1)
O 0.453 0.999 0.040 (multiplicity 1)
O 0.453 0.999 0.540 (multiplicity 1)
O 0.478 0.502 0.968 (multiplicity 1)
O 0.483 0.502 0.466 (multiplicity 1)
O 0.686 0.709 0.140 (multiplicity 1)
O 0.690 0.292 0.143 (multiplicity 1)
O 0.693 0.711 0.640 (multiplicity 1)
O 0.696 0.291 0.641 (multiplicity 1)
O 0.742 0.790 0.893 (multiplicity 1)
O 0.743 0.210 0.891 (multiplicity 1)
O 0.745 0.793 0.395 (multiplicity 1)
O 0.748 0.209 0.392 (multiplicity 1)
O 0.956 0.999 0.214 (multiplicity 1)
O 0.959 0.004 0.714 (multiplicity 1)
O 0.976 0.496 0.790 (multiplicity 1)
O 0.985 0.503 0.287 (multiplicity 1)

Largest 6 diffraction maxima, by intensity, 10° ≤ 2θ ≤ 90°:
(hkl), 2θ (°), Rel. int.
-1 2 2, 32.41, 100
1 -2 6, 57.78, 27
2 0 4, 46.43, 26
1 2 -2, 32.48, 20
0 1 2, 19.69, 17
2 -2 0, 39.99, 16

---

4.
Starting from a DFT-relaxed cell (PBE+U, the Materials Project), the PXRD pattern of BaTmFe4O7 was simulated for CuKα.
Neutral-atom scattering factors, no anomalous dispersion.

Crystal structure
Cell lengths 6.484, 6.484, 8.916 Å; angles 90.00, 90.00, 90.00 degrees
Space group I-4 (No. 82)
Unique sites:
Ba 0.000 0.000 0.000 (multiplicity 2)
Tm 0.000 0.500 0.250 (multiplicity 2)
Fe 0.024 0.740 0.632 (multiplicity 8)
O 0.000 0.000 0.500 (multiplicity 2)
O 0.000 0.500 0.502 (multiplicity 4)
O 0.203 0.780 0.230 (multiplicity 8)

Largest 6 diffraction maxima, by intensity, 10° ≤ 2θ ≤ 90°:
(hkl), 2θ (°), Rel. int.
1 2 1, 32.47, 100
1 1 2, 27.91, 60
1 0 3, 33.16, 48
2 2 4, 57.68, 34
2 0 0, 27.51, 32
1 3 2, 48.89, 28

---

5.
Starting from a DFT-relaxed cell (PBE+U, the Materials Project), the PXRD pattern of FeCo3P4O16 was simulated for CuKα.
Neutral-atom scattering factors, no anomalous dispersion.

Crystal structure
Cell lengths 4.839, 5.907, 9.825 Å; angles 90.00, 90.44, 90.00 degrees
Space group Pm (No. 6)
Unique sites:
Fe 0.000 0.000 0.000 (multiplicity 1)
Co 0.074 0.500 0.547 (multiplicity 1)
Co 0.473 0.500 0.062 (multiplicity 1)
Co 0.575 0.000 0.507 (multiplicity 1)
P 0.139 0.000 0.677 (multiplicity 1)
P 0.463 0.000 0.183 (multiplicity 1)
P 0.633 0.500 0.373 (multiplicity 1)
P 0.953 0.500 0.877 (multiplicity 1)
O 0.196 0.000 0.830 (multiplicity 1)
O 0.270 0.500 0.897 (multiplicity 1)
O 0.284 0.204 0.605 (multiplicity 2)
O 0.310 0.202 0.107 (multiplicity 2)
O 0.318 0.500 0.396 (multiplicity 1)
O 0.389 0.000 0.335 (multiplicity 1)
O 0.696 0.500 0.220 (multiplicity 1)
O 0.772 0.000 0.162 (multiplicity 1)
O 0.783 0.296 0.444 (multiplicity 2)
O 0.807 0.295 0.947 (multiplicity 2)
O 0.822 0.000 0.653 (multiplicity 1)
O 0.901 0.500 0.721 (multiplicity 1)

Largest 6 diffraction maxima, by intensity, 10° ≤ 2θ ≤ 90°:
(hkl), 2θ (°), Rel. int.
0 2 0, 30.26, 100
0 0 2, 18.06, 99
1 1 1, 25.52, 66
1 1 3, 36.56, 64
1 0 -1, 20.40, 63
1 1 -1, 25.41, 60

---

6.
Starting from a DFT-relaxed cell (PBE+U, the Materials Project), the PXRD pattern of Li3Fe3O8 was simulated for CuKα.
Neutral-atom scattering factors, no anomalous dispersion.

Crystal structure
Cell lengths 5.8604, 5.8604, 14.4921 Å; angles 90.00, 90.00, 120.00 degrees
Space group R-3m (No. 166, hexagonal axes)
Unique sites:
Li 0.0000 0.0000 0.0000 (multiplicity 3)
Li 0.0000 0.0000 0.3816 (multiplicity 6)
Fe 0.0000 0.5000 0.5000 (multiplicity 9)
O 0.0000 0.0000 0.2444 (multiplicity 6)
O 0.0318 0.5159 0.7635 (multiplicity 18)

Largest 6 diffraction maxima, by intensity, 10° ≤ 2θ ≤ 90°:
(hkl), 2θ (°), Rel. int.
0 0 3, 18.37, 100
0 2 4, 43.54, 64
0 2 1, 35.90, 55
1 0 1, 18.52, 36
2 2 0, 63.50, 20
2 0 8, 63.05, 18